# 1
Li2VO2F: calculated PXRD pattern (λ = 1.5418 Å (Cu Kα)), based on a crystal structure in the Materials Project, relaxed with GGA+U.

Atomic structure:
```
Li2VO2F
1.0
4.114 -3.995 0.000
4.114 3.995 0.000
-1.990 0.000 6.563
Li V O F
8 4 8 4
Direct
0.000 0.000 0.000
0.000 0.500 0.000
0.169 0.670 0.673
0.330 0.831 0.327
0.500 0.000 0.000
0.500 0.500 0.000
0.670 0.169 0.673
0.831 0.330 0.327
0.168 0.168 0.662
0.332 0.332 0.338
0.668 0.668 0.662
0.832 0.832 0.338
0.078 0.578 0.319
0.083 0.083 0.343
0.416 0.416 0.656
0.422 0.922 0.681
0.578 0.078 0.319
0.584 0.584 0.344
0.917 0.917 0.657
0.922 0.422 0.681
0.250 0.750 0.000
0.251 0.251 0.000
0.749 0.749 0.000
0.750 0.250 0.000
```

Peak list (6 most intense, 5° ≤ 2θ ≤ 70°, sorted by position)
- 13.49°, d 6.563, intensity 624
- 22.25°, d 3.995, intensity 915
- 41.26°, d 2.188, intensity 1000
- 44.03°, d 2.057, intensity 820
- 45.40°, d 1.998, intensity 741
- 63.01°, d 1.475, intensity 455



# 2
LiV2OF5: calculated PXRD pattern (λ = 1.5418 Å (Cu Kα)), based on a crystal structure in the Materials Project, relaxed with GGA+U.

Atomic structure:
```
LiV2OF5
1.0
5.312 0.000 0.000
2.653 4.845 0.000
2.452 0.477 16.972
Li V O F
4 8 4 20
Direct
0.000 0.000 0.000
0.077 0.160 0.609
0.347 0.382 0.863
0.918 0.714 0.373
0.093 0.995 0.813
0.232 0.087 0.430
0.366 0.210 0.067
0.482 0.336 0.682
0.579 0.503 0.311
0.738 0.581 0.934
0.831 0.753 0.564
0.944 0.869 0.181
0.019 0.289 0.872
0.513 0.796 0.372
0.744 0.013 0.091
0.767 0.047 0.623
0.165 0.705 0.279
0.178 0.066 0.155
0.195 0.641 0.758
0.234 0.131 0.711
0.236 0.524 0.598
0.257 0.556 0.115
0.410 0.904 0.996
0.413 0.949 0.533
0.425 0.330 0.400
0.492 0.763 0.845
0.508 0.365 0.960
0.664 0.173 0.252
0.677 0.184 0.783
0.718 0.543 0.651
0.749 0.638 0.219
0.941 0.405 0.505
0.956 0.403 0.025
0.967 0.806 0.909
0.975 0.882 0.462
0.980 0.310 0.351
```

Peak list (6 most intense, 5° ≤ 2θ ≤ 70°, sorted by position)
- 23.19°, d 3.835, intensity 961
- 23.42°, d 3.798, intensity 999
- 23.85°, d 3.731, intensity 1000
- 32.50°, d 2.755, intensity 449
- 32.64°, d 2.744, intensity 242
- 47.90°, d 1.899, intensity 206



# 3
Li6VO5F: calculated PXRD pattern (λ = 1.5418 Å (Cu Kα)), based on a crystal structure in the Materials Project, relaxed with GGA+U.

Atomic structure:
```
Li6VO5F
1.0
5.557 0.000 0.000
2.772 4.886 0.000
0.016 0.030 10.729
Li V O F
12 2 10 2
Direct
0.000 0.000 0.000
0.001 0.296 0.687
0.336 0.678 0.678
0.337 0.719 0.293
0.348 0.043 0.167
0.615 0.064 0.667
0.642 0.668 0.017
0.676 0.667 0.500
0.677 0.325 0.181
0.941 0.731 0.792
0.962 0.662 0.185
0.987 0.997 0.517
0.321 0.335 0.428
0.329 0.337 0.928
0.027 0.637 0.976
0.031 0.333 0.486
0.305 0.360 0.763
0.317 0.360 0.264
0.321 0.050 0.981
0.334 0.631 0.476
0.611 0.043 0.481
0.626 0.325 0.984
0.626 0.680 0.195
0.981 0.980 0.695
0.017 0.983 0.195
0.678 0.675 0.694
```

Peak list (6 most intense, 5° ≤ 2θ ≤ 70°, sorted by position)
- 18.16°, d 4.886, intensity 287
- 18.37°, d 4.831, intensity 760
- 24.64°, d 3.613, intensity 544
- 24.80°, d 3.590, intensity 1000
- 31.85°, d 2.810, intensity 407
- 33.41°, d 2.682, intensity 448